No. 1
Starting from a crystal structure in OQMD, relaxed with PBE, the X-ray powder pattern of Pt3SeO5 was computed for Cu Kα (weighted mean of Kα1 and Kα2).
Intensities are scaled so that the largest is 100.

Cell and atoms:
Lattice parameters (Å, degrees): 9.4089 11.8662 4.6575 90.00 90.00 90.00
Space group Cmc2_1 (No. 36)
One atom of each set of equivalent atoms:
Pt 0.0000 0.0358 0.0000 [4 per cell]
Pt 0.1933 0.1946 0.3988 [8 per cell]
Se 0.0000 0.4045 0.6244 [4 per cell]
O 0.0000 0.2717 0.4387 [4 per cell]
O 0.1297 0.3947 0.8844 [8 per cell]
O 0.1468 0.0719 0.7032 [8 per cell]

Largest 10 diffraction maxima, low angle first, 5° ≤ 2θ ≤ 70°:
index  2θ/deg  I_rel
1 1 0  12.0  79
2 2 0  24.1  100
0 2 1  24.3  28
2 2 1  30.9  60
1 3 1  31.2  26
3 1 1  35.3  45
0 4 1  35.9  58
3 3 0  36.6  43
2 2 2  46.1  19
2 6 1  54.0  26


No. 2
Starting from a crystal structure in OQMD, relaxed with PBE, the X-ray powder pattern of TbIr was computed for Cu Kα (weighted mean of Kα1 and Kα2).
Intensities are scaled so that the largest is 100.

Cell and atoms:
Lattice parameters (Å, degrees): 3.7711 3.7711 3.6013 90.00 90.00 120.00
Space group P-6m2 (No. 187)
One atom of each set of equivalent atoms:
Tb 0.0000 0.0000 0.0000 [1 per cell]
Ir 0.3333 0.6667 0.5000 [1 per cell]

Largest 7 diffraction maxima, low angle first, 5° ≤ 2θ ≤ 70°:
index  2θ/deg  I_rel
1 0 0  27.3  38
1 0 1  37.2  100
1 1 0  48.3  32
0 0 2  50.7  9
2 0 0  56.3  5
1 0 2  58.5  9
2 0 1  62.4  22